Calculated powder XRD pattern of Sn3H2O4 for CuKα, from DFT lattice parameters and positions (PBE).
No peak broadening, texture or thermal motion is included.

Crystal structure
a b c (Å): 8.008 8.008 9.150
angles (deg): 90.00 90.00 90.00
Atoms (fractional coordinates):
Sn 0.000 0.000 0.221
Sn 0.000 0.000 0.779
Sn 0.118 0.296 0.501
Sn 0.204 0.382 0.001
Sn 0.296 0.882 0.499
Sn 0.382 0.796 0.999
Sn 0.500 0.500 0.279
Sn 0.500 0.500 0.721
Sn 0.618 0.204 0.999
Sn 0.704 0.118 0.499
Sn 0.796 0.618 0.001
Sn 0.882 0.704 0.501
H 0.159 0.677 0.259
H 0.177 0.659 0.759
H 0.323 0.159 0.741
H 0.341 0.177 0.241
H 0.659 0.823 0.241
H 0.677 0.841 0.741
H 0.823 0.341 0.759
H 0.841 0.323 0.259
O 0.082 0.812 0.625
O 0.107 0.754 0.331
O 0.188 0.082 0.375
O 0.246 0.107 0.669
O 0.254 0.607 0.831
O 0.312 0.582 0.125
O 0.393 0.254 0.169
O 0.418 0.312 0.875
O 0.582 0.688 0.875
O 0.607 0.746 0.169
O 0.688 0.418 0.125
O 0.746 0.393 0.831
O 0.754 0.893 0.669
O 0.812 0.918 0.375
O 0.893 0.246 0.331
O 0.918 0.188 0.625

Peak list (8 most intense, 10 to 90 degrees two-theta, sorted by position)
hkl 1 0 1, 14.70°, I = 35; hkl 2 1 0, 24.86°, I = 55; hkl 1 1 2, 25.02°, I = 83; hkl 2 1 1, 26.73°, I = 65; hkl 2 0 2, 29.65°, I = 77; hkl 2 1 2, 31.73°, I = 100; hkl 3 1 0, 35.45°, I = 50; hkl 3 1 3, 46.62°, I = 38